For HoCd6Pb, a DFT-relaxed cell (PBE, Alexandria) gives the calculated powder XRD pattern in this record (Cu Kα (weighted mean of Kα1 and Kα2)).

Most intense lines, 2θ = 10–90°, in order of falling intensity:
- hkl 1 2 2, 34.42°, intensity 100
- hkl 1 1 3, 33.62°, intensity 28
- hkl 2 0 0, 36.82°, intensity 28
- hkl 0 0 4, 34.13°, intensity 19
- hkl 3 2 2, 64.78°, intensity 17
- hkl 2 0 4, 51.07°, intensity 12
- hkl 2 3 5, 69.72°, intensity 10
- hkl 0 3 1, 36.45°, intensity 10
- hkl 0 3 5, 56.90°, intensity 10
- hkl 1 5 3, 70.14°, intensity 9

Structural model:
```
data_HoCd6Pb
_symmetry_space_group_name_H-M 'A m m 2'
_symmetry_Int_Tables_number 38
_cell_length_a 4.883
_cell_length_b 7.606
_cell_length_c 10.509
_cell_angle_alpha 90.00
_cell_angle_beta 90.00
_cell_angle_gamma 90.00
loop_
_symmetry_equiv_pos_as_xyz
'x,y,z'
'-x,-y,z'
'-x,y,z'
'x,-y,z'
'x,y+1/2,z+1/2'
'-x,-y+1/2,z+1/2'
'-x,y+1/2,z+1/2'
'x,-y+1/2,z+1/2'
loop_
_atom_site_label
_atom_site_type_symbol
_atom_site_fract_x
_atom_site_fract_y
_atom_site_fract_z
Ho1 Ho 0.000 0.000 0.000
Cd1 Cd 0.000 0.000 0.451
Cd2 Cd 0.000 0.204 0.720
Cd3 Cd 0.500 0.000 0.808
Cd4 Cd 0.500 0.208 0.514
Pb1 Pb 0.500 0.000 0.231
```